The following is a simulated powder X-ray diffraction pattern of B12Pb6O25. It was derived from DFT lattice parameters and positions (GGA-PBE), using CuKα.
Neutral-atom scattering factors, no anomalous dispersion.

Structure:
Cell: 8.9019 8.9019 8.9019 Å, 81.52 81.52 81.52°
Atoms (fractional coordinates):
B (0.0000, 0.2304, 0.7696)
B (0.0000, 0.7696, 0.2304)
B (0.1072, 0.1072, 0.5341)
B (0.1072, 0.5341, 0.1072)
B (0.2304, 0.0000, 0.7696)
B (0.2304, 0.7696, 0.0000)
B (0.4659, 0.8928, 0.8928)
B (0.5341, 0.1072, 0.1072)
B (0.7696, 0.0000, 0.2304)
B (0.7696, 0.2304, 0.0000)
B (0.8928, 0.4659, 0.8928)
B (0.8928, 0.8928, 0.4659)
Pb (0.0846, 0.7024, 0.7024)
Pb (0.2976, 0.2976, 0.9154)
Pb (0.2976, 0.9154, 0.2976)
Pb (0.7024, 0.0846, 0.7024)
Pb (0.7024, 0.7024, 0.0846)
Pb (0.9154, 0.2976, 0.2976)
O (0.0000, 0.0000, 0.0000)
O (0.0009, 0.2118, 0.6064)
O (0.0009, 0.6064, 0.2118)
O (0.1082, 0.1082, 0.3784)
O (0.1082, 0.3784, 0.1082)
O (0.1461, 0.1461, 0.8194)
O (0.1461, 0.8194, 0.1461)
O (0.1806, 0.8539, 0.8539)
O (0.2118, 0.0009, 0.6064)
O (0.2118, 0.6064, 0.0009)
O (0.3784, 0.1082, 0.1082)
O (0.3936, 0.7882, 0.9991)
O (0.3936, 0.9991, 0.7882)
O (0.6064, 0.0009, 0.2118)
O (0.6064, 0.2118, 0.0009)
O (0.6216, 0.8918, 0.8918)
O (0.7882, 0.3936, 0.9991)
O (0.7882, 0.9991, 0.3936)
O (0.8194, 0.1461, 0.1461)
O (0.8539, 0.1806, 0.8539)
O (0.8539, 0.8539, 0.1806)
O (0.8918, 0.6216, 0.8918)
O (0.8918, 0.8918, 0.6216)
O (0.9991, 0.3936, 0.7882)
O (0.9991, 0.7882, 0.3936)

The 12 most intense peaks (10 to 90 degrees two-theta), most intense first:
2θ/deg, d (Å), intensity
15.2, 5.842, 100
23.9, 3.719, 76
25.5, 3.491, 64
10.1, 8.732, 50
30.7, 2.910, 44
31.1, 2.875, 40
34.8, 2.580, 33
27.0, 3.308, 28
45.3, 2.000, 27
46.3, 1.962, 25
20.3, 4.366, 24
30.6, 2.924, 19

The following is a simulated powder X-ray diffraction pattern of Sr2YTlSn2O7. It was derived from DFT lattice parameters and positions (GGA-PBE), using CuKα.
Neutral-atom scattering factors, no anomalous dispersion.

Structure:
Cell: 4.1952 4.1952 12.8035 Å, 90.00 90.00 90.00°
Atoms (fractional coordinates):
Sr (0.0000, 0.0000, 0.1800)
Sr (0.0000, 0.0000, 0.8200)
Y (0.0000, 0.0000, 0.5000)
Tl (0.5000, 0.5000, 0.0000)
Sn (0.5000, 0.5000, 0.3653)
Sn (0.5000, 0.5000, 0.6347)
O (0.0000, 0.0000, 0.0000)
O (0.0000, 0.5000, 0.3894)
O (0.0000, 0.5000, 0.6106)
O (0.5000, 0.0000, 0.3894)
O (0.5000, 0.0000, 0.6106)
O (0.5000, 0.5000, 0.2056)
O (0.5000, 0.5000, 0.7944)

The 12 most intense peaks (10 to 90 degrees two-theta), most intense first:
2θ/deg, d (Å), intensity
29.9, 2.992, 100
30.1, 2.966, 61
53.3, 1.718, 41
43.1, 2.098, 32
52.9, 1.732, 18
62.1, 1.496, 16
86.8, 1.122, 13
78.6, 1.218, 12
71.1, 1.327, 11
21.2, 4.195, 11
62.6, 1.483, 10
35.0, 2.561, 10

The following is a simulated powder X-ray diffraction pattern of TiI3. It was derived from DFT lattice parameters and positions (GGA-PBE), using CuKα.
Neutral-atom scattering factors, no anomalous dispersion.

Structure:
Cell: 6.4771 13.1962 7.6394 Å, 90.00 90.00 90.00°
Atoms (fractional coordinates):
Ti (0.0264, 0.2500, 0.2494)
Ti (0.4736, 0.2500, 0.2494)
Ti (0.5264, 0.7500, 0.7506)
Ti (0.9736, 0.7500, 0.7506)
I (0.2500, 0.0963, 0.4024)
I (0.2500, 0.2500, 0.9434)
I (0.2500, 0.4037, 0.4024)
I (0.2500, 0.6042, 0.8965)
I (0.2500, 0.7500, 0.4575)
I (0.2500, 0.8958, 0.8965)
I (0.7500, 0.1042, 0.1035)
I (0.7500, 0.2500, 0.5425)
I (0.7500, 0.3958, 0.1035)
I (0.7500, 0.5963, 0.5976)
I (0.7500, 0.7500, 0.0566)
I (0.7500, 0.9037, 0.5976)

The 12 most intense peaks (10 to 90 degrees two-theta), most intense first:
2θ/deg, d (Å), intensity
27.1, 3.287, 100
13.4, 6.607, 27
36.4, 2.469, 23
41.0, 2.202, 23
48.4, 1.879, 20
27.5, 3.239, 18
50.1, 1.821, 15
23.3, 3.815, 13
38.6, 2.330, 12
49.9, 1.829, 10
72.4, 1.305, 8
49.8, 1.833, 7

The following is a simulated powder X-ray diffraction pattern of CuCl. It was derived from DFT lattice parameters and positions (GGA-PBE), using CuKα.
Neutral-atom scattering factors, no anomalous dispersion.

Structure:
Cell: 3.6146 3.6146 3.6146 Å, 60.00 60.00 60.00°
Atoms (fractional coordinates):
Cu (0.0000, 0.0000, 0.0000)
Cl (0.5000, 0.5000, 0.5000)

The 8 most intense peaks (10 to 90 degrees two-theta), most intense first:
2θ/deg, d (Å), intensity
35.1, 2.556, 100
50.5, 1.807, 65
84.8, 1.143, 26
63.0, 1.476, 21
30.3, 2.951, 20
74.2, 1.278, 9
60.0, 1.541, 9
82.2, 1.173, 3

The following is a simulated powder X-ray diffraction pattern of Ac2CuSn. It was derived from DFT lattice parameters and positions (GGA-PBE), using CuKα.
Neutral-atom scattering factors, no anomalous dispersion.

Structure:
Cell: 5.6203 5.6203 5.6203 Å, 60.00 60.00 60.00°
Atoms (fractional coordinates):
Ac (0.2500, 0.2500, 0.2500)
Ac (0.7500, 0.7500, 0.7500)
Cu (0.0000, 0.0000, 0.0000)
Sn (0.5000, 0.5000, 0.5000)

The 12 most intense peaks (10 to 90 degrees two-theta), most intense first:
2θ/deg, d (Å), intensity
31.8, 2.810, 100
56.7, 1.622, 40
45.7, 1.987, 19
22.4, 3.974, 18
75.7, 1.257, 17
66.6, 1.405, 12
51.4, 1.777, 9
39.3, 2.294, 6
84.4, 1.147, 4
71.2, 1.325, 4
80.1, 1.198, 2
88.8, 1.102, 2

The following is a simulated powder X-ray diffraction pattern of Tm2ReB6. It was derived from DFT lattice parameters and positions (GGA-PBE), using CuKα.
Neutral-atom scattering factors, no anomalous dispersion.

Structure:
Cell: 9.1004 11.4692 3.6353 Å, 90.00 90.00 90.00°
Atoms (fractional coordinates):
Tm (0.0562, 0.1297, 0.0000)
Tm (0.1761, 0.4138, 0.0000)
Tm (0.3239, 0.9138, 0.0000)
Tm (0.4438, 0.6297, 0.0000)
Tm (0.5562, 0.3703, 0.0000)
Tm (0.6761, 0.0862, 0.0000)
Tm (0.8239, 0.5862, 0.0000)
Tm (0.9438, 0.8703, 0.0000)
Re (0.1389, 0.6791, 0.0000)
Re (0.3611, 0.1791, 0.0000)
Re (0.6389, 0.8209, 0.0000)
Re (0.8611, 0.3209, 0.0000)
B (0.0178, 0.2877, 0.5000)
B (0.0534, 0.5667, 0.5000)
B (0.0998, 0.9721, 0.5000)
B (0.1316, 0.8148, 0.5000)
B (0.2065, 0.2344, 0.5000)
B (0.2493, 0.0801, 0.5000)
B (0.2507, 0.5801, 0.5000)
B (0.2935, 0.7344, 0.5000)
B (0.3684, 0.3148, 0.5000)
B (0.4002, 0.4721, 0.5000)
B (0.4466, 0.0667, 0.5000)
B (0.4822, 0.7877, 0.5000)
B (0.5178, 0.2123, 0.5000)
B (0.5534, 0.9333, 0.5000)
B (0.5998, 0.5279, 0.5000)
B (0.6316, 0.6852, 0.5000)
B (0.7065, 0.2656, 0.5000)
B (0.7493, 0.4199, 0.5000)
B (0.7507, 0.9199, 0.5000)
B (0.7935, 0.7656, 0.5000)
B (0.8684, 0.1852, 0.5000)
B (0.9002, 0.0279, 0.5000)
B (0.9466, 0.4333, 0.5000)
B (0.9822, 0.7123, 0.5000)

The 12 most intense peaks (10 to 90 degrees two-theta), most intense first:
2θ/deg, d (Å), intensity
24.5, 3.635, 100
39.5, 2.281, 77
30.5, 2.930, 64
41.3, 2.185, 37
32.7, 2.735, 30
41.9, 2.158, 29
40.1, 2.251, 25
33.4, 2.681, 23
50.2, 1.818, 21
31.2, 2.867, 21
45.6, 1.989, 20
59.9, 1.545, 20